1.
This entry pairs a crystal structure of Cd4HgAu with its computed X-ray diffraction stick pattern. Radiation: Cu Ka. Structure: a crystal structure in Alexandria, relaxed with GGA-PBE.
Neutral-atom scattering factors, no anomalous dispersion.

Structure:
Unit cell a=8.9267 b=5.4841 c=5.3805 alpha=90.00 beta=90.16 gamma=90.00
Space group C2/m (No. 12)
One atom of each set of equivalent atoms:
1 Cd 0.1629 0.0000 0.4987 [4 per cell]
2 Cd 0.1682 0.5000 0.0012 [4 per cell]
3 Hg 0.0000 0.5000 0.5000 [2 per cell]
4 Au 0.0000 0.0000 0.0000 [2 per cell]

Principal peaks in the range 2θ from 10° to 90°, most intense first:
h k l  2θ/deg  I (rel.)
3 1 1  38.26  1000
0 2 0  32.66  385
0 0 2  33.30  365
0 2 2  47.34  271
3 3 1  62.03  237
3 1 -3  62.75  115
3 1 3  62.90  113
3 3 -3  81.84  109
3 3 3  82.00  108
1 1 -1  25.24  105

2.
This entry pairs a crystal structure of Cs2KInI4 with its computed X-ray diffraction stick pattern. Radiation: Cu Ka. Structure: a crystal structure in Alexandria, relaxed with GGA-PBE.
Neutral-atom scattering factors, no anomalous dispersion.

Structure:
Unit cell a=9.1292 b=5.2818 c=9.1617 alpha=90.00 beta=109.42 gamma=90.00
Space group P2/m (No. 10)
One atom of each set of equivalent atoms:
1 Cs 0.0000 0.0000 0.0000 [1 per cell]
2 Cs 0.5000 0.5000 0.0000 [1 per cell]
3 K 0.0000 0.5000 0.5000 [1 per cell]
4 In 0.5000 0.0000 0.5000 [1 per cell]
5 I 0.2431 0.0000 0.7243 [2 per cell]
6 I 0.2607 0.5000 0.2770 [2 per cell]

Principal peaks in the range 2θ from 10° to 90°, most intense first:
h k l  2θ/deg  I (rel.)
1 1 1  23.83  1000
0 2 0  33.95  773
1 3 1  54.95  221
2 2 -2  41.88  205
3 3 -1  60.79  137
4 2 0  55.05  129
2 2 2  48.77  129
1 3 -3  60.68  91
2 4 -2  76.52  73
4 0 0  41.97  72